[1]
Structure and computed PXRD pattern of HoCu2C4 (a crystal structure in OQMD, relaxed with PBE; Cu Kα (weighted mean of Kα1 and Kα2)).
Neutral-atom scattering factors, no anomalous dispersion.

Structural model:
```
data_HoCu2C4
_chemical_formula_sum 'Ho2 Cu4 C8'
_cell_length_a 7.364
_cell_length_b 7.364
_cell_length_c 5.343
_cell_angle_alpha 110.90
_cell_angle_beta 110.90
_cell_angle_gamma 114.66
_symmetry_space_group_name_H-M 'P 1'
_symmetry_Int_Tables_number 1
_symmetry_space_group_name_Hall 'P 1'
loop_
_atom_site_label
_atom_site_type_symbol
_atom_site_fract_x
_atom_site_fract_y
_atom_site_fract_z
_atom_site_occupancy
Ho1 Ho 0.075 0.925 0.750 1
Ho2 Ho 0.925 0.075 0.250 1
Cu1 Cu 0.000 0.500 0.000 1
Cu2 Cu 0.500 0.000 0.500 1
Cu3 Cu 0.500 0.500 0.000 1
Cu4 Cu 0.500 0.500 0.500 1
C1 C 0.144 0.338 0.862 1
C2 C 0.145 0.336 0.109 1
C3 C 0.336 0.145 0.609 1
C4 C 0.338 0.144 0.362 1
C5 C 0.662 0.856 0.638 1
C6 C 0.664 0.855 0.391 1
C7 C 0.855 0.664 0.891 1
C8 C 0.856 0.662 0.138 1
```

Most intense lines, 2θ from 5° to 70°, by angle:
- 14.29°, intensity 76
- 16.49°, intensity 50
- 26.47°, intensity 46
- 26.76°, intensity 46
- 27.28°, intensity 100
- 33.33°, intensity 73
- 34.98°, intensity 34
- 35.43°, intensity 33
- 37.39°, intensity 51
- 37.81°, intensity 50
- 39.35°, intensity 34
- 56.27°, intensity 50

[2]
Structure and computed PXRD pattern of K3CuC4N4 (a crystal structure in OQMD, relaxed with PBE; Cu Kα (weighted mean of Kα1 and Kα2)).
Neutral-atom scattering factors, no anomalous dispersion.

Structural model:
```
data_K3CuC4N4
_chemical_formula_sum 'K6 Cu2 C8 N8'
_cell_length_a 7.958
_cell_length_b 7.958
_cell_length_c 7.958
_cell_angle_alpha 74.13
_cell_angle_beta 74.13
_cell_angle_gamma 74.13
_symmetry_space_group_name_H-M 'P 1'
_symmetry_Int_Tables_number 1
_symmetry_space_group_name_Hall 'P 1'
loop_
_atom_site_label
_atom_site_type_symbol
_atom_site_fract_x
_atom_site_fract_y
_atom_site_fract_z
_atom_site_occupancy
K1 K 0.088 0.282 0.629 1
K2 K 0.129 0.782 0.588 1
K3 K 0.282 0.629 0.088 1
K4 K 0.588 0.129 0.782 1
K5 K 0.629 0.088 0.282 1
K6 K 0.782 0.588 0.129 1
Cu1 Cu 0.112 0.112 0.112 1
Cu2 Cu 0.612 0.612 0.612 1
C1 C 0.130 0.348 0.968 1
C2 C 0.348 0.968 0.130 1
C3 C 0.468 0.848 0.630 1
C4 C 0.497 0.497 0.497 1
C5 C 0.630 0.468 0.848 1
C6 C 0.848 0.630 0.468 1
C7 C 0.968 0.130 0.348 1
C8 C 0.997 0.997 0.997 1
N1 N 0.130 0.493 0.877 1
N2 N 0.377 0.993 0.630 1
N3 N 0.428 0.428 0.428 1
N4 N 0.493 0.877 0.130 1
N5 N 0.630 0.377 0.993 1
N6 N 0.877 0.130 0.493 1
N7 N 0.928 0.928 0.928 1
N8 N 0.993 0.630 0.377 1
```

Most intense lines, 2θ from 5° to 70°, by angle:
- 14.85°, intensity 50
- 23.36°, intensity 57
- 23.80°, intensity 100
- 28.91°, intensity 69
- 29.96°, intensity 25
- 30.32°, intensity 45
- 31.31°, intensity 38
- 32.33°, intensity 97
- 36.61°, intensity 70
- 38.89°, intensity 29
- 39.46°, intensity 20
- 48.96°, intensity 20

What is the formula in the first record? HoCu2C4